[1]
Structure and computed PXRD pattern of Cr2NiO4 (a structure optimized by DFT (GGA+U); Cu Kα (λ = 1.5418 Å)).
Intensities are scaled so that the largest is 100.

Most intense lines, 2θ = 10–80°, in order of falling intensity:
2.539 Å, 2θ = 35.35°, rel. 100, (1 -2 2); 2.568 Å, 2θ = 34.94°, rel. 98, (1 1 0); 2.551 Å, 2θ = 35.17°, rel. 76, (2 -1 1); 2.980 Å, 2θ = 29.98°, rel. 53, (1 1 -1); 1.491 Å, 2θ = 62.26°, rel. 43, (2 2 -2); 3.025 Å, 2θ = 29.53°, rel. 37, (-1 1 1); 2.111 Å, 2θ = 42.84°, rel. 30, (2 -2 2); 2.593 Å, 2θ = 34.60°, rel. 25, (0 1 1); 1.513 Å, 2θ = 61.24°, rel. 22, (-2 2 2); 1.511 Å, 2θ = 61.35°, rel. 22, (2 0 2); 1.497 Å, 2θ = 61.97°, rel. 22, (0 2 -4); 1.622 Å, 2θ = 56.75°, rel. 21, (3 0 -2)

Structural model:
```
data_Cr2NiO4
_chemical_formula_sum 'Cr4 Ni2 O8'
_symmetry_space_group_name_H-M 'P 1'
_symmetry_Int_Tables_number 1
_symmetry_space_group_name_Hall 'P 1'
_cell_length_a 5.952
_cell_length_b 5.965
_cell_length_c 5.991
_cell_angle_alpha 119.15
_cell_angle_beta 90.10
_cell_angle_gamma 119.91
loop_
_atom_site_label
_atom_site_type_symbol
_atom_site_fract_x
_atom_site_fract_y
_atom_site_fract_z
Cr1 Cr 0.000 0.000 0.000
Cr2 Cr 0.000 0.000 0.500
Cr3 Cr 0.000 0.501 0.501
Cr4 Cr 0.499 0.499 0.500
Ni1 Ni 0.376 0.749 0.120
Ni2 Ni 0.628 0.251 0.881
O1 O 0.218 0.976 0.738
O2 O 0.234 0.471 0.712
O3 O 0.237 0.476 0.258
O4 O 0.241 0.024 0.262
O5 O 0.756 0.972 0.734
O6 O 0.761 0.523 0.742
O7 O 0.762 0.529 0.288
O8 O 0.784 0.028 0.265
```



[2]
Structure and computed PXRD pattern of Li4TiCo3O8 (a structure optimized by DFT (GGA+U); Cu Kα (λ = 1.5418 Å)).
Intensities are scaled so that the largest is 100.

Most intense lines, 2θ = 10–80°, in order of falling intensity:
4.867 Å, 2θ = 18.23°, rel. 100, (0 1 -1); 2.117 Å, 2θ = 42.70°, rel. 27, (2 -2 0); 2.090 Å, 2θ = 43.29°, rel. 26, (0 0 4); 2.079 Å, 2θ = 43.53°, rel. 25, (2 2 0); 2.544 Å, 2θ = 35.28°, rel. 16, (-2 1 1); 1.485 Å, 2θ = 62.54°, rel. 14, (-2 2 4); 1.482 Å, 2θ = 62.71°, rel. 14, (4 0 0); 2.513 Å, 2θ = 35.72°, rel. 14, (0 1 3); 2.505 Å, 2θ = 35.85°, rel. 13, (2 1 1); 2.411 Å, 2θ = 37.29°, rel. 9, (2 0 2); 1.490 Å, 2θ = 62.30°, rel. 7, (2 -2 4); 1.466 Å, 2θ = 63.43°, rel. 7, (2 2 4)

Structural model:
```
data_Li4TiCo3O8
_chemical_formula_sum 'Li8 Ti2 Co6 O16'
_symmetry_space_group_name_H-M 'P -1'
_symmetry_Int_Tables_number 2
_symmetry_space_group_name_Hall '-P 1'
_cell_length_a 5.926
_cell_length_b 5.944
_cell_length_c 8.362
_cell_angle_alpha 90.58
_cell_angle_beta 90.26
_cell_angle_gamma 91.04
loop_
_atom_site_label
_atom_site_type_symbol
_atom_site_fract_x
_atom_site_fract_y
_atom_site_fract_z
Li1 Li 0.000 0.000 0.000
Li2 Li 0.000 0.500 0.500
Li3 Li 0.247 0.247 0.249
Li4 Li 0.250 0.750 0.749
Li5 Li 0.500 0.000 0.000
Li6 Li 0.500 0.500 0.500
Ti1 Ti 0.000 0.500 0.000
Ti2 Ti 0.500 0.000 0.500
Co1 Co 0.000 0.000 0.500
Co2 Co 0.248 0.249 0.750
Co3 Co 0.253 0.749 0.249
Co4 Co 0.500 0.500 0.000
O1 O 0.003 0.496 0.763
O2 O 0.008 0.021 0.732
O3 O 0.237 0.263 0.999
O4 O 0.245 0.733 0.001
O5 O 0.246 0.225 0.500
O6 O 0.270 0.758 0.496
O7 O 0.482 0.480 0.765
O8 O 0.493 0.005 0.737
```



[3]
Structure and computed PXRD pattern of Li9Mn2Co5O16 (a structure optimized by DFT (GGA+U); Cu Kα (λ = 1.5418 Å)).
Intensities are scaled so that the largest is 100.

Most intense lines, 2θ = 10–80°, in order of falling intensity:
4.837 Å, 2θ = 18.34°, rel. 100, (0 2 1); 2.193 Å, 2θ = 41.16°, rel. 34, (1 3 0); 2.065 Å, 2θ = 43.84°, rel. 27, (1 -3 1); 2.008 Å, 2θ = 45.16°, rel. 24, (0 2 5); 2.615 Å, 2θ = 34.29°, rel. 19, (1 1 -1); 2.429 Å, 2θ = 37.02°, rel. 14, (0 0 4); 2.491 Å, 2θ = 36.06°, rel. 13, (1 -1 2); 1.510 Å, 2θ = 61.41°, rel. 8, (2 0 1); 1.497 Å, 2θ = 61.98°, rel. 8, (0 6 -1); 1.483 Å, 2θ = 62.62°, rel. 8, (1 5 5); 1.478 Å, 2θ = 62.87°, rel. 7, (1 1 -5); 1.453 Å, 2θ = 64.10°, rel. 7, (-1 5 4)

Structural model:
```
data_Li9Mn2Co5O16
_chemical_formula_sum 'Li9 Mn2 Co5 O16'
_symmetry_space_group_name_H-M 'P 1'
_symmetry_Int_Tables_number 1
_symmetry_space_group_name_Hall 'P 1'
_cell_length_a 3.025
_cell_length_b 9.910
_cell_length_c 10.213
_cell_angle_alpha 73.45
_cell_angle_beta 82.55
_cell_angle_gamma 87.11
loop_
_atom_site_label
_atom_site_type_symbol
_atom_site_fract_x
_atom_site_fract_y
_atom_site_fract_z
Li1 Li 0.000 0.000 0.000
Li2 Li 0.057 0.310 0.875
Li3 Li 0.116 0.622 0.747
Li4 Li 0.240 0.248 0.502
Li5 Li 0.373 0.875 0.250
Li6 Li 0.497 0.491 0.997
Li7 Li 0.618 0.129 0.750
Li8 Li 0.743 0.749 0.500
Li9 Li 0.873 0.370 0.247
Mn1 Mn 0.302 0.559 0.378
Mn2 Mn 0.937 0.686 0.121
Co1 Co 0.178 0.937 0.624
Co2 Co 0.438 0.192 0.115
Co3 Co 0.567 0.811 0.871
Co4 Co 0.668 0.428 0.637
Co5 Co 0.807 0.061 0.372
O1 O 0.123 0.291 0.684
O2 O 0.141 0.961 0.806
O3 O 0.240 0.582 0.560
O4 O 0.281 0.911 0.443
O5 O 0.334 0.208 0.300
O6 O 0.366 0.534 0.193
O7 O 0.498 0.835 0.052
O8 O 0.515 0.154 0.957
O9 O 0.601 0.466 0.794
O10 O 0.667 0.791 0.692
O11 O 0.709 0.087 0.553
O12 O 0.741 0.411 0.450
O13 O 0.868 0.038 0.192
O14 O 0.873 0.712 0.306
O15 O 0.983 0.329 0.066
O16 O 0.988 0.663 0.937
```



[4]
Structure and computed PXRD pattern of RbFeH4Cl3O2 (a structure optimized by DFT (GGA+U); Cu Kα (λ = 1.5418 Å)).
Intensities are scaled so that the largest is 100.

Most intense lines, 2θ = 10–80°, in order of falling intensity:
2.844 Å, 2θ = 31.46°, rel. 100, (1 2 2); 2.653 Å, 2θ = 33.78°, rel. 93, (3 0 2); 3.788 Å, 2θ = 23.48°, rel. 47, (2 1 0); 1.990 Å, 2θ = 45.59°, rel. 47, (2 2 4); 5.718 Å, 2θ = 15.50°, rel. 38, (0 0 2); 3.158 Å, 2θ = 28.26°, rel. 30, (2 1 2); 1.894 Å, 2θ = 48.03°, rel. 26, (4 2 0); 4.825 Å, 2θ = 18.39°, rel. 25, (1 0 2); 2.998 Å, 2θ = 29.80°, rel. 25, (0 2 2); 2.771 Å, 2θ = 32.30°, rel. 22, (2 2 0); 2.859 Å, 2θ = 31.28°, rel. 20, (0 0 4); 2.485 Å, 2θ = 36.15°, rel. 19, (1 2 3)

Structural model:
```
data_RbFeH4Cl3O2
_chemical_formula_sum 'Rb4 Fe4 H16 Cl12 O8'
_symmetry_space_group_name_H-M 'P c c a'
_symmetry_Int_Tables_number 54
_symmetry_space_group_name_Hall '-P 2a 2ac'
_cell_length_a 8.989
_cell_length_b 7.040
_cell_length_c 11.437
_cell_angle_alpha 90.00
_cell_angle_beta 90.00
_cell_angle_gamma 90.00
loop_
_atom_site_label
_atom_site_type_symbol
_atom_site_fract_x
_atom_site_fract_y
_atom_site_fract_z
Rb1 Rb 0.250 0.000 0.150
Fe1 Fe 0.000 0.469 0.250
H1 H 0.025 0.304 0.948
H2 H 0.182 0.298 0.885
Cl1 Cl 0.087 0.208 0.389
Cl2 Cl 0.250 0.500 0.150
O1 O 0.074 0.318 0.871
```



[5]
Structure and computed PXRD pattern of Sr3LaMn4O12 (a structure optimized by DFT (GGA+U); Cu Kα (λ = 1.5418 Å)).
Intensities are scaled so that the largest is 100.

Most intense lines, 2θ = 10–80°, in order of falling intensity:
2.744 Å, 2θ = 32.63°, rel. 100, (2 0 0); 2.766 Å, 2θ = 32.36°, rel. 66, (1 1 2); 1.943 Å, 2θ = 46.74°, rel. 47, (2 2 0); 2.758 Å, 2θ = 32.47°, rel. 33, (0 2 0); 1.594 Å, 2θ = 57.84°, rel. 27, (1 3 2); 1.590 Å, 2θ = 58.00°, rel. 26, (3 1 2); 1.955 Å, 2θ = 46.46°, rel. 24, (0 0 4); 2.254 Å, 2θ = 40.01°, rel. 23, (0 2 2); 1.373 Å, 2θ = 68.31°, rel. 13, (2 2 -4); 1.233 Å, 2θ = 77.43°, rel. 13, (1 1 -6); 1.383 Å, 2θ = 67.75°, rel. 13, (2 2 4); 1.579 Å, 2θ = 58.44°, rel. 12, (3 1 -2)

Structural model:
```
data_Sr3LaMn4O12
_chemical_formula_sum 'Sr3 La1 Mn4 O12'
_symmetry_space_group_name_H-M 'P 1'
_symmetry_Int_Tables_number 1
_symmetry_space_group_name_Hall 'P 1'
_cell_length_a 5.479
_cell_length_b 5.515
_cell_length_c 7.819
_cell_angle_alpha 90.00
_cell_angle_beta 89.41
_cell_angle_gamma 89.94
loop_
_atom_site_label
_atom_site_type_symbol
_atom_site_fract_x
_atom_site_fract_y
_atom_site_fract_z
Sr1 Sr 0.000 0.000 0.000
Sr2 Sr 0.000 0.003 0.500
Sr3 Sr 0.500 0.504 0.000
La1 La 0.500 0.506 0.500
Mn1 Mn 0.000 0.503 0.248
Mn2 Mn 0.000 0.503 0.752
Mn3 Mn 0.500 0.003 0.248
Mn4 Mn 0.500 0.003 0.752
O1 O 0.000 0.464 0.000
O2 O 0.000 0.538 0.500
O3 O 0.231 0.772 0.234
O4 O 0.235 0.238 0.725
O5 O 0.274 0.729 0.762
O6 O 0.275 0.278 0.276
O7 O 0.500 0.040 0.000
O8 O 0.500 0.959 0.500
O9 O 0.725 0.278 0.724
O10 O 0.726 0.729 0.237
O11 O 0.765 0.238 0.275
O12 O 0.769 0.772 0.766
```



[6]
Structure and computed PXRD pattern of Li2FeO3 (a structure optimized by DFT (GGA+U); Cu Kα (λ = 1.5418 Å)).
Intensities are scaled so that the largest is 100.

Most intense lines, 2θ = 10–80°, in order of falling intensity:
4.764 Å, 2θ = 18.63°, rel. 100, (2 0 -1); 2.060 Å, 2θ = 43.94°, rel. 69, (1 1 -2); 5.685 Å, 2θ = 15.59°, rel. 32, (0 0 1); 2.010 Å, 2θ = 45.10°, rel. 29, (6 0 0); 6.031 Å, 2θ = 14.69°, rel. 28, (2 0 0); 2.467 Å, 2θ = 36.42°, rel. 24, (1 1 1); 3.706 Å, 2θ = 24.01°, rel. 20, (2 0 1); 1.445 Å, 2θ = 64.51°, rel. 16, (7 1 -2); 1.433 Å, 2θ = 65.08°, rel. 16, (5 1 2); 2.815 Å, 2θ = 31.78°, rel. 12, (1 1 0); 2.428 Å, 2θ = 37.03°, rel. 11, (4 0 1); 1.591 Å, 2θ = 57.96°, rel. 10, (3 1 -3)

Structural model:
```
data_Li2FeO3
_chemical_formula_sum 'Li8 Fe4 O12'
_symmetry_space_group_name_H-M 'C 1 2/m 1'
_symmetry_Int_Tables_number 12
_symmetry_space_group_name_Hall '-C 2y'
_cell_length_a 12.446
_cell_length_b 2.895
_cell_length_c 5.866
_cell_angle_alpha 90.00
_cell_angle_beta 104.27
_cell_angle_gamma 90.00
loop_
_atom_site_label
_atom_site_type_symbol
_atom_site_fract_x
_atom_site_fract_y
_atom_site_fract_z
Li1 Li 0.000 0.000 0.000
Li2 Li 0.000 0.000 0.500
Li3 Li 0.160 0.500 0.340
Fe1 Fe 0.161 0.500 0.827
O1 O 0.014 0.500 0.760
O2 O 0.170 0.000 0.615
O3 O 0.174 0.000 0.064
```